Structure and computed powder diffractogram of MgNi3 (the PBE geometry in Alexandria; λ = 1.5418 Å (Cu Kα)).
No peak broadening, texture or thermal motion is included.

Structure:
Unit cell a=6.3444 b=5.8698 c=4.4041 alpha=74.75 beta=63.20 gamma=42.05
Fractional coordinates of all 8 atoms:
Mg 0.1335 0.1335 0.8666
Mg 0.8666 0.8666 0.1335
Ni 0.0000 0.0000 0.5000
Ni 0.2500 0.2500 0.2500
Ni 0.3839 0.3839 0.6161
Ni 0.5000 0.5000 0.0000
Ni 0.6161 0.6161 0.3839
Ni 0.7500 0.7500 0.7500

Top 10 peaks for 10° ≤ 2θ ≤ 90°, low angle first:
2θ/deg	d/Å	Rel. int.
22.8	3.903	21.4
42.8	2.113	100.0
43.0	2.101	96.4
49.2	1.852	62.4
51.5	1.775	27.6
71.8	1.315	8.7
72.5	1.304	9.1
74.0	1.281	33.5
87.5	1.115	19.9
88.0	1.110	20.9



Structure and computed powder diffractogram of Mg6Ni (the PBE geometry in Alexandria; λ = 1.5418 Å (Cu Kα)).
No peak broadening, texture or thermal motion is included.

Structure:
Unit cell a=5.6259 b=5.6259 c=5.5390 alpha=90.00 beta=90.00 gamma=120.00
Fractional coordinates of all 7 atoms:
Mg 0.0000 0.3546 0.2391
Mg 0.0000 0.6454 0.7609
Mg 0.3546 0.0000 0.2391
Mg 0.3546 0.3546 0.7609
Mg 0.6454 0.0000 0.7609
Mg 0.6454 0.6454 0.2391
Ni 0.0000 0.0000 0.5000

Top 10 peaks for 10° ≤ 2θ ≤ 90°, low angle first:
2θ/deg	d/Å	Rel. int.
16.0	5.539	16.8
18.2	4.872	36.3
24.3	3.658	54.9
35.8	2.508	100.0
36.9	2.436	17.0
37.3	2.408	23.5
46.0	1.974	43.4
52.4	1.747	14.6
56.7	1.624	25.2
59.9	1.544	17.9



Structure and computed powder diffractogram of Mg2Ni7 (the PBE geometry in Alexandria; λ = 1.5418 Å (Cu Kα)).
No peak broadening, texture or thermal motion is included.

Structure:
Unit cell a=12.1877 b=12.1877 c=12.1877 alpha=22.51 beta=22.51 gamma=22.51
Fractional coordinates of all 18 atoms:
Mg 0.0516 0.0516 0.0516
Mg 0.1498 0.1498 0.1498
Mg 0.8502 0.8502 0.8502
Mg 0.9484 0.9484 0.9484
Ni 0.0000 0.5000 0.5000
Ni 0.1094 0.6128 0.6128
Ni 0.2774 0.2774 0.2774
Ni 0.3872 0.3872 0.8906
Ni 0.3872 0.8906 0.3872
Ni 0.3894 0.3894 0.3894
Ni 0.5000 0.0000 0.5000
Ni 0.5000 0.5000 0.0000
Ni 0.5000 0.5000 0.5000
Ni 0.6106 0.6106 0.6106
Ni 0.6128 0.1094 0.6128
Ni 0.6128 0.6128 0.1094
Ni 0.7226 0.7226 0.7226
Ni 0.8906 0.3872 0.3872

Top 10 peaks for 10° ≤ 2θ ≤ 90°, low angle first:
2θ/deg	d/Å	Rel. int.
21.7	4.093	69.8
37.8	2.379	12.9
44.0	2.057	21.2
44.4	2.039	100.0
45.9	1.979	42.7
47.6	1.910	11.8
48.7	1.869	59.8
51.2	1.783	28.7
72.9	1.298	20.5
80.8	1.190	21.8



Structure and computed powder diffractogram of MgNi3 (the PBE geometry in Alexandria; λ = 1.5418 Å (Cu Kα)).
No peak broadening, texture or thermal motion is included.

Structure:
Unit cell a=2.7174 b=2.7174 c=6.7205 alpha=90.00 beta=90.00 gamma=90.00
Fractional coordinates of all 4 atoms:
Mg 0.0000 0.0000 0.0000
Ni 0.0000 0.0000 0.5000
Ni 0.5000 0.5000 0.2761
Ni 0.5000 0.5000 0.7239

Top 10 peaks for 10° ≤ 2θ ≤ 90°, low angle first:
2θ/deg	d/Å	Rel. int.
13.2	6.721	37.9
42.8	2.113	100.0
47.3	1.922	39.2
49.3	1.847	5.2
53.0	1.729	11.4
54.6	1.680	9.5
69.1	1.359	11.5
75.1	1.265	13.7
84.8	1.143	23.7
88.8	1.101	4.2



Structure and computed powder diffractogram of MgNi5 (the PBE geometry in Alexandria; λ = 1.5418 Å (Cu Kα)).
No peak broadening, texture or thermal motion is included.

Structure:
Unit cell a=2.5918 b=2.5918 c=10.5284 alpha=90.00 beta=90.00 gamma=90.00
Fractional coordinates of all 6 atoms:
Mg 0.0000 0.0000 0.0000
Ni 0.0000 0.0000 0.3417
Ni 0.0000 0.0000 0.6583
Ni 0.5000 0.5000 0.1847
Ni 0.5000 0.5000 0.5000
Ni 0.5000 0.5000 0.8153

Top 10 peaks for 10° ≤ 2θ ≤ 90°, low angle first:
2θ/deg	d/Å	Rel. int.
16.8	5.264	6.3
43.4	2.085	100.0
49.3	1.847	7.9
49.8	1.833	34.5
52.1	1.755	12.0
61.7	1.504	2.1
73.0	1.296	10.0
74.9	1.267	14.9
83.1	1.163	3.4
88.9	1.101	22.2



Structure and computed powder diffractogram of Mg4Ni (the PBE geometry in Alexandria; λ = 1.5418 Å (Cu Kα)).
No peak broadening, texture or thermal motion is included.

Structure:
Unit cell a=7.4283 b=7.4283 c=7.4283 alpha=131.67 beta=65.34 gamma=138.80
Fractional coordinates of all 10 atoms:
Mg 0.0811 0.6709 0.7521
Mg 0.1727 0.1493 0.3220
Mg 0.3273 0.6493 0.9765
Mg 0.4189 0.1709 0.5898
Mg 0.5811 0.8291 0.4102
Mg 0.6727 0.3507 0.0235
Mg 0.8273 0.8507 0.6780
Mg 0.9189 0.3291 0.2479
Ni 0.2500 0.2500 0.0000
Ni 0.7500 0.7500 0.0000

Top 10 peaks for 10° ≤ 2θ ≤ 90°, low angle first:
2θ/deg	d/Å	Rel. int.
14.2	6.253	80.7
16.2	5.469	100.0
34.9	2.572	36.5
36.6	2.455	47.9
38.2	2.358	35.7
38.9	2.313	35.8
43.5	2.081	47.9
45.3	2.004	39.1
45.8	1.982	23.4
69.7	1.349	20.2